[1]
This entry pairs a crystal structure of Zr9Co3O2 with its simulated powder diffraction line list. Radiation: CuKα. Structure: the PBE+U geometry in the Materials Project.

Crystal structure
Unit cell a=5.801 b=5.801 c=26.742 alpha=90.11 beta=90.11 gamma=33.20
Element x y z (fractional)
Zr: 0.064 0.064 0.417
Zr: 0.068 0.068 0.082
Zr: 0.068 0.068 0.748
Zr: 0.364 0.364 0.020
Zr: 0.364 0.364 0.480
Zr: 0.364 0.364 0.686
Zr: 0.364 0.364 0.814
Zr: 0.365 0.365 0.147
Zr: 0.365 0.365 0.354
Zr: 0.635 0.635 0.646
Zr: 0.635 0.635 0.853
Zr: 0.636 0.636 0.186
Zr: 0.636 0.636 0.314
Zr: 0.636 0.636 0.520
Zr: 0.636 0.636 0.980
Zr: 0.932 0.932 0.252
Zr: 0.932 0.932 0.918
Zr: 0.936 0.936 0.583
Co: 0.243 0.243 0.249
Co: 0.243 0.243 0.915
Co: 0.248 0.248 0.584
Co: 0.752 0.752 0.416
Co: 0.757 0.757 0.085
Co: 0.757 0.757 0.751
O: 0.000 0.000 0.000
O: 0.000 0.000 0.500
O: 0.001 0.001 0.334
O: 0.999 0.999 0.666

Principal peaks in the range 2θ from 10° to 90°, by intensity:
| two_theta | Rel. int. |
| --- | --- |
| 34.22 | 100 |
| 37.78 | 100 |
| 34.68 | 98 |
| 36.36 | 56 |
| 41.62 | 49 |
| 38.16 | 40 |
| 64.45 | 34 |
| 55.44 | 28 |
| 33.78 | 28 |
| 66.78 | 27 |

[2]
This entry pairs a crystal structure of BaCaCo4O7 with its simulated powder diffraction line list. Radiation: CuKα. Structure: the PBE+U geometry in the Materials Project.

Crystal structure
Unit cell a=11.103 b=6.400 c=10.301 alpha=90.00 beta=90.00 gamma=90.00
Element x y z (fractional)
Ba: 0.164 0.005 0.000
Ba: 0.336 0.505 0.500
Ba: 0.664 0.495 0.000
Ba: 0.836 0.995 0.500
Ca: 0.174 0.995 0.630
Ca: 0.326 0.495 0.130
Ca: 0.674 0.505 0.630
Ca: 0.826 0.005 0.130
Co: 0.002 0.503 0.557
Co: 0.079 0.238 0.322
Co: 0.086 0.749 0.309
Co: 0.174 0.498 0.815
Co: 0.326 0.998 0.315
Co: 0.414 0.249 0.809
Co: 0.421 0.738 0.822
Co: 0.498 0.003 0.057
Co: 0.502 0.997 0.557
Co: 0.579 0.262 0.322
Co: 0.586 0.751 0.309
Co: 0.674 0.002 0.815
Co: 0.826 0.502 0.315
Co: 0.914 0.251 0.809
Co: 0.921 0.762 0.822
Co: 0.998 0.497 0.057
O: 0.002 0.512 0.748
O: 0.008 0.992 0.772
O: 0.050 0.235 0.507
O: 0.101 0.716 0.500
O: 0.154 0.431 0.999
O: 0.237 0.789 0.219
O: 0.241 0.271 0.295
O: 0.259 0.771 0.795
O: 0.263 0.289 0.719
O: 0.346 0.931 0.499
O: 0.399 0.216 0.000
O: 0.450 0.735 0.007
O: 0.492 0.492 0.272
O: 0.498 0.012 0.248
O: 0.502 0.988 0.748
O: 0.508 0.508 0.772
O: 0.550 0.265 0.507
O: 0.601 0.784 0.500
O: 0.654 0.069 0.999
O: 0.737 0.711 0.219
O: 0.741 0.229 0.295
O: 0.759 0.729 0.795
O: 0.763 0.211 0.719
O: 0.846 0.569 0.499
O: 0.899 0.284 0.000
O: 0.950 0.765 0.007
O: 0.992 0.008 0.272
O: 0.998 0.488 0.248

Principal peaks in the range 2θ from 10° to 90°, by intensity:
| two_theta | Rel. int. |
| --- | --- |
| 33.46 | 100 |
| 32.93 | 89 |
| 30.62 | 68 |
| 57.56 | 36 |
| 55.57 | 35 |
| 27.86 | 30 |
| 51.04 | 30 |
| 52.59 | 25 |
| 18.16 | 25 |
| 34.84 | 23 |

[3]
This entry pairs a crystal structure of Li2CrP8O24 with its simulated powder diffraction line list. Radiation: CuKα. Structure: the PBE+U geometry in the Materials Project.

Crystal structure
Unit cell a=7.225 b=7.361 c=9.883 alpha=98.44 beta=109.17 gamma=109.96
Element x y z (fractional)
Li: 0.000 0.000 0.000
Li: 0.187 0.951 0.765
Cr: 0.392 0.900 0.504
P: 0.167 0.619 0.929
P: 0.203 0.253 0.545
P: 0.463 0.674 0.764
P: 0.483 0.202 0.278
P: 0.694 0.654 0.449
P: 0.696 0.246 0.073
P: 0.904 0.701 0.236
P: 0.922 0.207 0.718
O: 0.059 0.132 0.822
O: 0.101 0.703 0.356
O: 0.133 0.807 0.918
O: 0.159 0.281 0.393
O: 0.209 0.577 0.078
O: 0.256 0.075 0.573
O: 0.302 0.207 0.153
O: 0.341 0.773 0.666
O: 0.366 0.625 0.885
O: 0.404 0.449 0.669
O: 0.443 0.038 0.353
O: 0.490 0.149 0.934
O: 0.508 0.703 0.452
O: 0.618 0.414 0.411
O: 0.665 0.190 0.219
O: 0.681 0.096 0.649
O: 0.701 0.782 0.839
O: 0.733 0.710 0.306
O: 0.769 0.485 0.114
O: 0.871 0.194 0.052
O: 0.896 0.750 0.589
O: 0.938 0.859 0.157
O: 0.963 0.434 0.796
O: 0.998 0.238 0.582

Principal peaks in the range 2θ from 10° to 90°, by intensity:
| two_theta | Rel. int. |
| --- | --- |
| 19.01 | 100 |
| 29.09 | 68 |
| 20.49 | 61 |
| 29.39 | 50 |
| 26.94 | 46 |
| 27.54 | 41 |
| 27.39 | 30 |
| 25.85 | 25 |
| 16.87 | 22 |
| 27.83 | 22 |

[4]
This entry pairs a crystal structure of LiNiBO3 with its simulated powder diffraction line list. Radiation: CuKα. Structure: the PBE+U geometry in the Materials Project.

Crystal structure
Unit cell a=8.068 b=3.134 c=8.074 alpha=90.00 beta=119.96 gamma=90.00
Element x y z (fractional)
Li: 0.000 0.000 0.000
Li: 0.286 0.000 0.698
Li: 0.588 0.000 0.286
Ni: 0.298 0.500 0.376
Ni: 0.667 0.500 0.988
Ni: 0.910 0.500 0.620
B: 0.291 0.500 0.995
B: 0.625 0.500 0.662
B: 0.958 0.000 0.328
O: 0.155 0.000 0.406
O: 0.188 0.500 0.796
O: 0.195 0.500 0.098
O: 0.476 0.500 0.701
O: 0.491 0.500 0.091
O: 0.586 0.500 0.475
O: 0.812 0.500 0.810
O: 0.839 0.000 0.132
O: 0.881 0.000 0.447

Principal peaks in the range 2θ from 10° to 90°, by intensity:
| two_theta | Rel. int. |
| --- | --- |
| 22.02 | 100 |
| 36.29 | 72 |
| 28.48 | 49 |
| 55.75 | 38 |
| 38.62 | 35 |
| 44.90 | 28 |
| 54.05 | 27 |
| 46.85 | 22 |
| 31.28 | 22 |
| 48.69 | 18 |

[5]
This entry pairs a crystal structure of SmMo8O14 with its simulated powder diffraction line list. Radiation: CuKα. Structure: the PBE+U geometry in the Materials Project.

Crystal structure
Unit cell a=9.387 b=8.225 c=8.225 alpha=82.05 beta=90.00 gamma=90.00
Element x y z (fractional)
Sm: 0.000 0.000 0.000
Sm: 0.500 0.500 0.500
Mo: 0.127 0.786 0.411
Mo: 0.130 0.507 0.162
Mo: 0.143 0.382 0.552
Mo: 0.146 0.647 0.784
Mo: 0.354 0.147 0.284
Mo: 0.357 0.882 0.052
Mo: 0.370 0.007 0.662
Mo: 0.373 0.286 0.911
Mo: 0.627 0.911 0.286
Mo: 0.630 0.662 0.007
Mo: 0.643 0.052 0.882
Mo: 0.646 0.284 0.147
Mo: 0.854 0.784 0.647
Mo: 0.857 0.552 0.382
Mo: 0.870 0.162 0.507
Mo: 0.873 0.411 0.786
O: 0.000 0.355 0.355
O: 0.000 0.827 0.827
O: 0.003 0.711 0.229
O: 0.020 0.473 0.938
O: 0.206 0.959 0.222
O: 0.242 0.681 0.997
O: 0.248 0.305 0.105
O: 0.248 0.564 0.380
O: 0.252 0.064 0.880
O: 0.252 0.805 0.605
O: 0.258 0.181 0.497
O: 0.294 0.459 0.722
O: 0.480 0.973 0.438
O: 0.497 0.211 0.729
O: 0.500 0.327 0.327
O: 0.500 0.855 0.855
O: 0.503 0.729 0.211
O: 0.520 0.438 0.973
O: 0.706 0.722 0.459
O: 0.742 0.497 0.181
O: 0.748 0.605 0.805
O: 0.748 0.880 0.064
O: 0.752 0.105 0.305
O: 0.752 0.380 0.564
O: 0.758 0.997 0.681
O: 0.794 0.222 0.959
O: 0.980 0.938 0.473
O: 0.997 0.229 0.711

Principal peaks in the range 2θ from 10° to 90°, by intensity:
| two_theta | Rel. int. |
| --- | --- |
| 29.96 | 100 |
| 30.61 | 97 |
| 27.50 | 83 |
| 33.31 | 65 |
| 44.38 | 61 |
| 60.07 | 58 |
| 24.93 | 56 |
| 32.16 | 55 |
| 21.85 | 53 |
| 34.58 | 52 |

[6]
This entry pairs a crystal structure of RbFeF4 with its simulated powder diffraction line list. Radiation: CuKα. Structure: the PBE+U geometry in the Materials Project.

Crystal structure
Unit cell a=7.820 b=7.839 c=6.332 alpha=90.00 beta=90.00 gamma=90.00
Element x y z (fractional)
Rb: 0.000 0.000 0.007
Rb: 0.000 0.500 0.049
Rb: 0.500 0.000 0.951
Rb: 0.500 0.500 0.993
Fe: 0.239 0.755 0.497
Fe: 0.261 0.255 0.503
Fe: 0.739 0.745 0.503
Fe: 0.761 0.245 0.497
F: 0.012 0.239 0.422
F: 0.182 0.717 0.783
F: 0.222 0.298 0.793
F: 0.250 0.005 0.570
F: 0.250 0.505 0.430
F: 0.278 0.798 0.207
F: 0.318 0.217 0.217
F: 0.488 0.739 0.578
F: 0.512 0.261 0.578
F: 0.682 0.783 0.217
F: 0.722 0.202 0.207
F: 0.750 0.495 0.430
F: 0.750 0.995 0.570
F: 0.778 0.702 0.793
F: 0.818 0.283 0.783
F: 0.988 0.761 0.422

Principal peaks in the range 2θ from 10° to 90°, by intensity:
| two_theta | Rel. int. |
| --- | --- |
| 26.77 | 100 |
| 32.34 | 29 |
| 54.37 | 27 |
| 49.03 | 21 |
| 28.18 | 19 |
| 43.42 | 12 |
| 46.33 | 12 |
| 35.39 | 12 |
| 69.79 | 12 |
| 46.45 | 11 |

[7]
This entry pairs a crystal structure of Sr10Fe4CoMo5O30 with its simulated powder diffraction line list. Radiation: CuKα. Structure: the PBE+U geometry in the Materials Project.

Crystal structure
Unit cell a=9.749 b=9.749 c=9.749 alpha=99.76 beta=99.76 gamma=131.38
Element x y z (fractional)
Sr: 0.051 0.348 0.900
Sr: 0.150 0.051 0.703
Sr: 0.250 0.750 0.500
Sr: 0.348 0.448 0.297
Sr: 0.448 0.150 0.100
Sr: 0.552 0.850 0.900
Sr: 0.652 0.552 0.703
Sr: 0.750 0.250 0.500
Sr: 0.850 0.949 0.297
Sr: 0.949 0.652 0.100
Fe: 0.201 0.402 0.604
Fe: 0.402 0.799 0.201
Fe: 0.598 0.201 0.799
Fe: 0.799 0.598 0.396
Co: 0.000 0.000 0.000
Mo: 0.100 0.702 0.802
Mo: 0.298 0.100 0.398
Mo: 0.500 0.500 0.000
Mo: 0.702 0.900 0.602
Mo: 0.900 0.298 0.198
O: 0.028 0.847 0.875
O: 0.039 0.367 0.406
O: 0.048 0.849 0.401
O: 0.151 0.552 0.199
O: 0.153 0.028 0.180
O: 0.169 0.558 0.727
O: 0.231 0.239 0.469
O: 0.239 0.769 0.008
O: 0.253 0.253 0.000
O: 0.353 0.952 0.801
O: 0.358 0.427 0.785
O: 0.367 0.961 0.327
O: 0.427 0.642 0.069
O: 0.442 0.169 0.612
O: 0.448 0.647 0.599
O: 0.552 0.353 0.401
O: 0.558 0.831 0.388
O: 0.573 0.358 0.931
O: 0.633 0.039 0.673
O: 0.642 0.573 0.215
O: 0.647 0.048 0.199
O: 0.747 0.747 0.000
O: 0.761 0.231 0.992
O: 0.769 0.761 0.531
O: 0.831 0.442 0.273
O: 0.847 0.972 0.820
O: 0.849 0.448 0.801
O: 0.952 0.151 0.599
O: 0.961 0.633 0.594
O: 0.972 0.153 0.125

Principal peaks in the range 2θ from 10° to 90°, by intensity:
| two_theta | Rel. int. |
| --- | --- |
| 31.69 | 100 |
| 31.85 | 52 |
| 56.65 | 40 |
| 45.67 | 34 |
| 66.19 | 21 |
| 56.34 | 20 |
| 45.18 | 19 |
| 75.65 | 17 |
| 84.11 | 10 |
| 66.57 | 10 |

[8]
This entry pairs a crystal structure of Na2V6O15 with its simulated powder diffraction line list. Radiation: CuKα. Structure: the PBE+U geometry in the Materials Project.

Crystal structure
Unit cell a=3.644 b=8.160 c=10.485 alpha=76.72 beta=89.82 gamma=77.15
Element x y z (fractional)
Na: 0.000 0.000 0.000
Na: 0.086 0.820 0.686
V: 0.219 0.561 0.245
V: 0.260 0.473 0.942
V: 0.433 0.128 0.240
V: 0.650 0.694 0.444
V: 0.830 0.341 0.744
V: 0.867 0.256 0.441
O: 0.129 0.750 0.146
O: 0.156 0.684 0.901
O: 0.172 0.650 0.417
O: 0.288 0.425 0.124
O: 0.296 0.406 0.766
O: 0.351 0.289 0.385
O: 0.445 0.103 0.087
O: 0.544 0.910 0.342
O: 0.637 0.719 0.596
O: 0.734 0.530 0.301
O: 0.793 0.407 0.922
O: 0.803 0.390 0.564
O: 0.913 0.168 0.270
O: 0.935 0.130 0.786
O: 0.958 0.066 0.540

Principal peaks in the range 2θ from 10° to 90°, by intensity:
| two_theta | Rel. int. |
| --- | --- |
| 11.44 | 100 |
| 26.51 | 87 |
| 26.17 | 57 |
| 26.13 | 55 |
| 30.68 | 47 |
| 50.07 | 45 |
| 32.73 | 37 |
| 23.04 | 20 |
| 17.40 | 20 |
| 37.96 | 18 |